PrThRh2: calculated X-ray diffraction stick pattern (λ = 1.5418 Å (Cu Kα)), based on a structure optimized by DFT (PBE).
Kinematic intensities with the Lorentz-polarization factor, no thermal factor.

Crystal structure
```
PrThRh2
1.0
5.837 0.000 0.000
0.000 5.839 0.000
0.000 0.000 11.566
Pr Th Rh
4 4 8
Direct
0.000 0.250 0.125
0.000 0.750 0.875
0.500 0.250 0.375
0.500 0.750 0.625
0.000 0.250 0.625
0.000 0.750 0.375
0.500 0.250 0.875
0.500 0.750 0.125
0.000 0.250 0.385
0.000 0.250 0.865
0.000 0.750 0.135
0.000 0.750 0.615
0.500 0.250 0.115
0.500 0.250 0.635
0.500 0.750 0.365
0.500 0.750 0.885
```

Top 10 peaks for 10 to 90 degrees two-theta, in order of falling intensity:
d (Å)	2θ/deg	I (rel.)
2.919	30.63	100
2.054	44.08	72
2.892	30.93	48
1.680	54.63	38
2.064	43.86	37
1.190	80.77	25
3.360	26.53	20
1.305	72.39	17
1.303	72.55	16
1.296	73.03	15

Li2TiGeO5: calculated X-ray diffraction stick pattern (λ = 1.5418 Å (Cu Kα)), based on a structure optimized by DFT (PBE).
Kinematic intensities with the Lorentz-polarization factor, no thermal factor.

Crystal structure
```
Li2TiGeO5
1.0
6.657 0.000 0.000
0.000 6.657 0.000
0.000 0.000 4.552
Li Ti Ge O
4 2 2 10
Direct
0.000 0.000 0.000
0.000 0.500 0.000
0.500 0.000 0.000
0.500 0.500 0.000
0.250 0.250 0.396
0.750 0.750 0.604
0.250 0.750 0.500
0.750 0.250 0.500
0.036 0.750 0.732
0.250 0.250 0.773
0.250 0.536 0.268
0.250 0.964 0.268
0.464 0.750 0.732
0.536 0.250 0.268
0.750 0.036 0.732
0.750 0.464 0.732
0.750 0.750 0.227
0.964 0.250 0.268
```

Top 10 peaks for 10 to 90 degrees two-theta, in order of falling intensity:
d (Å)	2θ/deg	I (rel.)
3.328	26.78	100
2.687	33.35	91
4.552	19.50	72
2.091	43.28	26
1.664	55.19	26
1.636	56.22	24
3.758	23.68	23
1.415	66.03	23
3.272	27.25	18
2.354	38.24	17

BaCrPt: calculated X-ray diffraction stick pattern (λ = 1.5418 Å (Cu Kα)), based on a structure optimized by DFT (PBE).
Kinematic intensities with the Lorentz-polarization factor, no thermal factor.

Crystal structure
```
BaCrPt
1.0
0.000 4.988 4.219
4.041 0.000 4.219
4.041 4.988 0.000
Ba Cr Pt
2 2 2
Direct
0.190 0.810 0.190
0.810 0.190 0.810
0.208 0.461 0.792
0.461 0.208 0.539
0.462 0.787 0.538
0.787 0.462 0.213
```

Top 10 peaks for 10 to 90 degrees two-theta, in order of falling intensity:
d (Å)	2θ/deg	I (rel.)
2.889	30.95	100
2.485	36.14	76
3.221	27.69	52
4.988	17.78	48
3.140	28.43	47
2.567	34.95	47
1.679	54.66	46
4.219	21.06	45
1.872	48.65	36
1.943	46.75	36

PuThPb6: calculated X-ray diffraction stick pattern (λ = 1.5418 Å (Cu Kα)), based on a structure optimized by DFT (PBE).
Kinematic intensities with the Lorentz-polarization factor, no thermal factor.

Crystal structure
```
PuThPb6
1.0
5.755 0.000 0.000
0.000 5.755 0.000
0.000 0.000 7.289
Pu Th Pb
1 1 6
Direct
0.000 0.000 0.000
0.000 0.000 0.500
0.000 0.500 0.246
0.000 0.500 0.754
0.500 0.000 0.246
0.500 0.000 0.754
0.500 0.500 0.000
0.500 0.500 0.500
```

Top 10 peaks for 10 to 90 degrees two-theta, in order of falling intensity:
d (Å)	2θ/deg	I (rel.)
2.715	32.99	100
2.878	31.08	58
1.628	56.52	45
2.035	44.53	22
1.540	60.10	19
1.357	69.21	12
1.287	73.60	11
1.271	74.66	10
1.822	50.06	8
1.164	82.94	8